Simulated powder X-ray diffraction pattern
Compound: Rb2CaNd2W4O16
Radiation: a wavelength of 1.5418 Å
Structure: the GGA+U geometry in Alexandria

The 10 most intense peaks (2θ = 10–80°), by intensity:
two_theta  d/Å  I/Imax
25.85  3.447  100
28.14  3.171  85
31.12  2.874  66
15.68  5.651  38
44.99  2.015  34
46.08  1.970  29
31.89  2.806  28
26.63  3.348  27
54.83  1.674  25
31.67  2.826  23

```
Rb2CaNd2W4O16
1.0
5.7887 -5.6513 0.0000
5.7887 5.6513 0.0000
-5.0618 0.0000 5.7513
Rb Ca Nd W O
2 1 2 4 16
Direct
0.0000 0.0000 0.0000
0.7287 0.2713 0.5000
0.4711 0.5289 0.5000
0.0217 0.9783 0.5000
0.5680 0.4320 0.0000
0.0927 0.5193 0.5566
0.0943 0.5231 0.0533
0.4769 0.9057 0.9467
0.4807 0.9073 0.4434
0.0579 0.5874 0.8297
0.0758 0.2654 0.8566
0.0873 0.2661 0.4941
0.1510 0.4672 0.3029
0.1833 0.8172 0.3010
0.1828 0.8167 0.6990
0.3963 0.5904 0.2098
0.4096 0.6037 0.7902
0.4126 0.9421 0.1703
0.4821 0.1598 0.0158
0.4838 0.1718 0.6297
0.5328 0.8490 0.6971
0.7339 0.9127 0.5059
0.7346 0.9242 0.1434
0.8282 0.5162 0.3703
0.8402 0.5179 0.9842
```